HoMg7Sc3: theoretical PXRD pattern (Cu Ka), based on a PBE-relaxed structure.

Structural model:
```
HoMg7Sc3
1.0
5.153 -4.977 0.000
5.153 4.977 0.000
-1.820 0.000 5.593
Ho Mg Sc
1 7 3
Direct
0.000 0.000 0.000
0.000 0.000 0.500
0.074 0.544 0.810
0.273 0.273 0.468
0.456 0.926 0.190
0.544 0.074 0.810
0.727 0.727 0.532
0.926 0.456 0.190
0.304 0.696 0.500
0.500 0.500 0.000
0.696 0.304 0.500
```

Principal peaks in the range 2θ from 10° to 90°, sorted by position:
Position (°2θ), I (rel.)
12.7, 59
18.0, 47
18.1, 57
23.9, 40
25.5, 45
27.0, 75
28.4, 57
31.5, 55
33.1, 100
36.1, 41
39.7, 45
44.8, 42

InTc2Rh2: theoretical PXRD pattern (Cu Ka), based on a PBE-relaxed structure.

Structural model:
```
InTc2Rh2
1.0
7.629 0.000 0.000
0.000 7.629 0.000
0.000 0.000 2.803
In Tc Rh
2 4 4
Direct
0.000 0.000 0.000
0.500 0.500 0.000
0.117 0.383 0.000
0.383 0.883 0.000
0.617 0.117 0.000
0.883 0.617 0.000
0.172 0.672 0.500
0.328 0.172 0.500
0.672 0.828 0.500
0.828 0.328 0.500
```

Principal peaks in the range 2θ from 10° to 90°, sorted by position:
Position (°2θ), I (rel.)
33.2, 19
37.3, 76
39.9, 44
41.7, 100
42.7, 18
49.2, 15
54.3, 11
61.2, 12
66.8, 10
71.5, 22
75.1, 11
79.0, 16